(1)
This entry pairs a crystal structure of BaCr2O4 with its simulated XRD peak list. Radiation: λ = 1.5418 Å (Cu Kα). Structure: a cell relaxed with PBE+U.
Neutral-atom scattering factors, no anomalous dispersion.

Cell and atoms:
a b c (Å): 6.073 12.440 5.269
angles (deg): 90.00 90.00 90.00
Element x y z (fractional)
Ba 0.000 0.000 0.000
Ba 0.000 0.500 0.312
Ba 0.500 0.000 0.579
Ba 0.500 0.500 0.892
Cr 0.000 0.256 0.943
Cr 0.000 0.744 0.943
Cr 0.250 0.250 0.446
Cr 0.250 0.750 0.446
Cr 0.500 0.244 0.948
Cr 0.500 0.756 0.948
Cr 0.750 0.250 0.446
Cr 0.750 0.750 0.446
O 0.000 0.170 0.278
O 0.000 0.336 0.613
O 0.000 0.664 0.613
O 0.000 0.830 0.278
O 0.247 0.162 0.780
O 0.247 0.838 0.780
O 0.253 0.338 0.111
O 0.253 0.662 0.111
O 0.500 0.165 0.279
O 0.500 0.330 0.615
O 0.500 0.670 0.615
O 0.500 0.835 0.279
O 0.747 0.338 0.111
O 0.747 0.662 0.111
O 0.753 0.162 0.780
O 0.753 0.838 0.780

Main lines, most intense first (2θ = 5–70°):
d_spacing, I (rel.)
3.791, 100
3.110, 57
2.871, 55
2.009, 52
2.223, 43
3.352, 34
2.729, 33
1.520, 32
2.633, 27
3.980, 25

***

(2)
This entry pairs a crystal structure of BaCr2P4O14 with its simulated XRD peak list. Radiation: λ = 1.5418 Å (Cu Kα). Structure: a cell relaxed with PBE+U.
Neutral-atom scattering factors, no anomalous dispersion.

Cell and atoms:
a b c (Å): 6.253 6.283 7.978
angles (deg): 96.61 101.52 105.90
Element x y z (fractional)
Ba 0.000 0.000 0.000
Cr 0.375 0.689 0.229
Cr 0.625 0.311 0.771
P 0.183 0.462 0.806
P 0.486 0.243 0.335
P 0.514 0.757 0.665
P 0.817 0.538 0.194
O 0.066 0.681 0.267
O 0.220 0.636 0.970
O 0.256 0.606 0.660
O 0.319 0.361 0.243
O 0.326 0.300 0.832
O 0.431 0.016 0.214
O 0.476 0.227 0.520
O 0.524 0.773 0.480
O 0.569 0.984 0.786
O 0.674 0.700 0.168
O 0.681 0.639 0.757
O 0.744 0.394 0.340
O 0.780 0.364 0.030
O 0.934 0.319 0.733

Main lines, most intense first (2θ = 5–70°):
d_spacing, I (rel.)
5.308, 100
7.689, 100
2.959, 64
3.051, 63
2.992, 61
3.642, 52
3.006, 47
4.299, 47
2.901, 39
4.339, 38

***

(3)
This entry pairs a crystal structure of BaCrP2O7 with its simulated XRD peak list. Radiation: λ = 1.5418 Å (Cu Kα). Structure: a cell relaxed with PBE+U.
Neutral-atom scattering factors, no anomalous dispersion.

Cell and atoms:
a b c (Å): 5.440 7.557 7.693
angles (deg): 103.22 90.97 94.47
Element x y z (fractional)
Ba 0.211 0.277 0.432
Ba 0.789 0.723 0.568
Cr 0.192 0.147 0.902
Cr 0.808 0.853 0.098
P 0.282 0.685 0.899
P 0.299 0.765 0.287
P 0.701 0.235 0.713
P 0.718 0.315 0.101
O 0.083 0.824 0.906
O 0.084 0.890 0.300
O 0.224 0.514 0.755
O 0.268 0.625 0.091
O 0.284 0.651 0.426
O 0.448 0.125 0.704
O 0.457 0.221 0.107
O 0.543 0.779 0.893
O 0.552 0.875 0.296
O 0.716 0.349 0.574
O 0.732 0.375 0.909
O 0.776 0.486 0.245
O 0.916 0.110 0.700
O 0.917 0.176 0.094

Main lines, most intense first (2θ = 5–70°):
d_spacing, I (rel.)
3.028, 100
3.665, 95
3.119, 54
2.710, 46
3.132, 39
3.936, 38
3.701, 35
2.932, 34
3.044, 34
1.966, 31

***

(4)
This entry pairs a crystal structure of BaCr2PO13 with its simulated XRD peak list. Radiation: λ = 1.5418 Å (Cu Kα). Structure: a cell relaxed with PBE+U.
Neutral-atom scattering factors, no anomalous dispersion.

Cell and atoms:
a b c (Å): 7.655 8.645 10.058
angles (deg): 93.52 104.57 109.90
Element x y z (fractional)
Ba 0.166 0.252 0.164
Ba 0.834 0.748 0.836
Cr 0.297 0.378 0.577
Cr 0.374 0.702 0.994
Cr 0.626 0.298 0.006
Cr 0.703 0.622 0.423
P 0.210 0.128 0.781
P 0.790 0.872 0.219
O 0.093 0.097 0.884
O 0.147 0.545 0.297
O 0.149 0.957 0.686
O 0.169 0.263 0.693
O 0.201 0.510 0.517
O 0.204 0.778 0.971
O 0.286 0.244 0.451
O 0.287 0.505 0.006
O 0.342 0.935 0.598
O 0.436 0.186 0.845
O 0.476 0.732 0.869
O 0.477 0.525 0.330
O 0.489 0.004 0.335
O 0.511 0.996 0.665
O 0.523 0.475 0.670
O 0.524 0.268 0.131
O 0.564 0.814 0.155
O 0.658 0.065 0.402
O 0.713 0.495 0.994
O 0.714 0.756 0.549
O 0.796 0.222 0.029
O 0.799 0.490 0.483
O 0.831 0.737 0.307
O 0.851 0.043 0.314
O 0.853 0.455 0.703
O 0.907 0.903 0.116

Main lines, most intense first (2θ = 5–70°):
d_spacing, I (rel.)
6.553, 100
3.855, 65
3.498, 51
3.695, 38
2.726, 38
3.035, 35
9.607, 33
3.840, 31
4.172, 29
3.934, 27

***

(5)
This entry pairs a crystal structure of BaSmCrSnO6 with its simulated XRD peak list. Radiation: λ = 1.5418 Å (Cu Kα). Structure: a cell relaxed with PBE+U.
Neutral-atom scattering factors, no anomalous dispersion.

Cell and atoms:
a b c (Å): 5.718 5.718 5.718
angles (deg): 60.00 60.00 60.00
Element x y z (fractional)
Ba 0.000 0.000 0.000
Sm 0.500 0.500 0.500
Cr 0.750 0.750 0.750
Sn 0.250 0.250 0.250
O 0.503 0.503 0.997
O 0.503 0.997 0.503
O 0.503 0.997 0.997
O 0.997 0.503 0.503
O 0.997 0.503 0.997
O 0.997 0.997 0.503

Main lines, most intense first (2θ = 5–70°):
d_spacing, I (rel.)
2.859, 100
1.651, 40
2.022, 31
1.429, 19
2.334, 9
4.669, 5
2.438, 4
4.043, 3
1.855, 2
1.808, 2

***

(6)
This entry pairs a crystal structure of BaSrSmCrO6 with its simulated XRD peak list. Radiation: λ = 1.5418 Å (Cu Kα). Structure: a cell relaxed with PBE+U.
Neutral-atom scattering factors, no anomalous dispersion.

Cell and atoms:
a b c (Å): 5.912 5.912 5.912
angles (deg): 60.00 60.00 60.00
Element x y z (fractional)
Ba 0.000 0.000 0.000
Sr 0.500 0.500 0.500
Sm 0.250 0.250 0.250
Cr 0.750 0.750 0.750
O 0.522 0.522 0.978
O 0.522 0.978 0.522
O 0.522 0.978 0.978
O 0.978 0.522 0.522
O 0.978 0.522 0.978
O 0.978 0.978 0.522

Main lines, most intense first (2θ = 5–70°):
d_spacing, I (rel.)
2.956, 100
1.707, 39
2.090, 32
1.478, 19
4.827, 12
2.521, 10
1.918, 6
2.413, 3
1.609, 3
1.413, 3

***

(7)
This entry pairs a crystal structure of Ba2Ti4Cr2O13 with its simulated XRD peak list. Radiation: λ = 1.5418 Å (Cu Kα). Structure: a cell relaxed with PBE+U.
Neutral-atom scattering factors, no anomalous dispersion.

Cell and atoms:
a b c (Å): 7.847 7.847 9.239
angles (deg): 98.02 98.02 29.16
Element x y z (fractional)
Ba 0.052 0.052 0.272
Ba 0.948 0.948 0.728
Ti 0.334 0.334 0.063
Ti 0.376 0.376 0.413
Ti 0.624 0.624 0.587
Ti 0.666 0.666 0.937
Cr 0.255 0.255 0.740
Cr 0.745 0.745 0.260
O 0.132 0.132 0.615
O 0.199 0.199 0.928
O 0.264 0.264 0.258
O 0.331 0.331 0.582
O 0.370 0.370 0.882
O 0.432 0.432 0.195
O 0.500 0.500 0.500
O 0.568 0.568 0.805
O 0.630 0.630 0.118
O 0.669 0.669 0.418
O 0.736 0.736 0.742
O 0.801 0.801 0.072
O 0.868 0.868 0.385

Main lines, most intense first (2θ = 5–70°):
d_spacing, I (rel.)
2.983, 100
3.021, 94
3.102, 79
2.861, 73
4.571, 66
1.975, 64
2.880, 57
2.091, 56
3.668, 54
2.074, 47

***

(8)
This entry pairs a crystal structure of Ba2Tl2Cr3O10 with its simulated XRD peak list. Radiation: λ = 1.5418 Å (Cu Kα). Structure: a cell relaxed with PBE+U.
Neutral-atom scattering factors, no anomalous dispersion.

Cell and atoms:
a b c (Å): 3.761 3.762 20.028
angles (deg): 86.97 85.49 89.99
Element x y z (fractional)
Ba 0.000 0.000 0.000
Ba 0.311 0.353 0.426
Tl 0.453 0.446 0.152
Tl 0.899 0.904 0.273
Cr 0.548 0.533 0.886
Cr 0.713 0.639 0.712
Cr 0.762 0.822 0.541
O 0.040 0.528 0.907
O 0.211 0.638 0.716
O 0.266 0.822 0.532
O 0.323 0.410 0.258
O 0.476 0.483 0.048
O 0.547 0.032 0.892
O 0.713 0.140 0.709
O 0.772 0.327 0.519
O 0.829 0.868 0.377
O 0.863 0.938 0.167

Main lines, most intense first (2θ = 5–70°):
d_spacing, I (rel.)
2.659, 100
2.848, 69
1.880, 59
3.117, 54
3.161, 53
3.079, 52
3.198, 49
2.646, 43
2.926, 34
1.599, 29

***

(9)
This entry pairs a crystal structure of Ba2Tl2Zn2Cr3O10 with its simulated XRD peak list. Radiation: λ = 1.5418 Å (Cu Kα). Structure: a cell relaxed with PBE+U.
Neutral-atom scattering factors, no anomalous dispersion.

Cell and atoms:
a b c (Å): 3.890 3.902 19.397
angles (deg): 89.87 88.94 89.64
Element x y z (fractional)
Ba 0.000 0.000 0.000
Ba 0.361 0.656 0.403
Tl 0.426 0.568 0.145
Tl 0.897 0.102 0.259
Zn 0.031 0.987 0.815
Zn 0.341 0.652 0.587
Cr 0.524 0.496 0.881
Cr 0.530 0.129 0.699
Cr 0.857 0.157 0.520
O 0.023 0.114 0.717
O 0.026 0.501 0.862
O 0.356 0.154 0.543
O 0.370 0.504 0.269
O 0.510 0.493 0.980
O 0.513 0.624 0.681
O 0.526 0.997 0.859
O 0.857 0.160 0.421
O 0.866 0.657 0.538
O 0.938 0.177 0.133

Main lines, most intense first (2θ = 5–70°):
d_spacing, I (rel.)
3.040, 100
2.771, 76
2.747, 63
2.763, 63
3.007, 60
2.724, 56
1.939, 41
3.062, 40
3.343, 27
1.944, 26

***

(10)
This entry pairs a crystal structure of Ba3Cr2WO9 with its simulated XRD peak list. Radiation: λ = 1.5418 Å (Cu Kα). Structure: a cell relaxed with PBE+U.
Neutral-atom scattering factors, no anomalous dispersion.

Cell and atoms:
a b c (Å): 5.808 5.808 14.297
angles (deg): 90.00 90.00 120.00
Element x y z (fractional)
Ba 0.000 0.000 0.250
Ba 0.000 0.000 0.750
Ba 0.333 0.667 0.104
Ba 0.333 0.667 0.396
Ba 0.667 0.333 0.604
Ba 0.667 0.333 0.896
Cr 0.333 0.667 0.660
Cr 0.333 0.667 0.840
Cr 0.667 0.333 0.160
Cr 0.667 0.333 0.340
W 0.000 0.000 0.000
W 0.000 0.000 0.500
O 0.031 0.515 0.750
O 0.160 0.839 0.578
O 0.160 0.839 0.922
O 0.161 0.321 0.578
O 0.161 0.321 0.922
O 0.321 0.161 0.078
O 0.321 0.161 0.422
O 0.483 0.969 0.750
O 0.485 0.517 0.750
O 0.515 0.031 0.250
O 0.517 0.485 0.250
O 0.679 0.840 0.578
O 0.679 0.840 0.922
O 0.839 0.160 0.078
O 0.839 0.160 0.422
O 0.840 0.679 0.078
O 0.840 0.679 0.422
O 0.969 0.483 0.250

Main lines, most intense first (2θ = 5–70°):
d_spacing, I (rel.)
2.904, 100
2.914, 94
1.678, 58
2.057, 50
3.460, 25
1.452, 19
2.224, 18
5.030, 16
1.522, 13
1.892, 11